[1]
The following is a calculated powder diffractogram of SrEuHfSnO6. It was derived from a DFT-relaxed cell (PBE, the Materials Project), using Cu Kα X-rays.
Kinematic intensities with the Lorentz-polarization factor, no thermal factor.

Principal peaks in the range 2θ from 5° to 70°, low angle first:
| Position (°2θ) | d [Å] | I_rel |
| --- | --- | --- |
| 18.6 | 4.759 | 6 |
| 21.6 | 4.121 | 4 |
| 30.7 | 2.914 | 100 |
| 36.1 | 2.485 | 4 |
| 43.9 | 2.061 | 29 |
| 48.1 | 1.891 | 2 |
| 49.4 | 1.843 | 2 |
| 54.5 | 1.683 | 41 |
| 58.2 | 1.586 | 1 |
| 63.9 | 1.457 | 19 |

Structural model:
```
data_SrEuHfSnO6
_cell_length_a 8.2429
_cell_length_b 8.2429
_cell_length_c 8.2429
_cell_angle_alpha 90.00
_cell_angle_beta 90.00
_cell_angle_gamma 90.00
_space_group_name_H-M_alt 'F -4 3 m'
_space_group_IT_number 216
_space_group_name_Hall 'F -4 2 3'
loop_
_atom_site_label
_atom_site_type_symbol
_atom_site_fract_x
_atom_site_fract_y
_atom_site_fract_z
_atom_site_occupancy
Sr1 Sr 0.0000 0.0000 0.0000 1
Eu1 Eu 0.0000 0.0000 0.5000 1
Hf1 Hf 0.2500 0.2500 0.7500 1
Sn1 Sn 0.2500 0.2500 0.2500 1
O1 O 0.0003 0.2500 0.2500 1
```

***

[2]
The following is a calculated powder diffractogram of Ta3Ge. It was derived from a DFT-relaxed cell (PBE, the Materials Project), using Cu Kα X-rays.
Kinematic intensities with the Lorentz-polarization factor, no thermal factor.

Principal peaks in the range 2θ from 5° to 70°, low angle first:
| Position (°2θ) | d [Å] | I_rel |
| --- | --- | --- |
| 35.6 | 2.523 | 98 |
| 36.7 | 2.451 | 95 |
| 38.7 | 2.326 | 51 |
| 39.7 | 2.270 | 100 |
| 42.6 | 2.123 | 35 |
| 44.4 | 2.040 | 36 |
| 56.6 | 1.625 | 17 |
| 62.5 | 1.486 | 24 |
| 63.2 | 1.472 | 30 |
| 65.3 | 1.429 | 20 |

Structural model:
```
data_Ta3Ge
_cell_length_a 10.4068
_cell_length_b 10.4068
_cell_length_c 5.1977
_cell_angle_alpha 90.00
_cell_angle_beta 90.00
_cell_angle_gamma 90.00
_space_group_name_H-M_alt 'I -4'
_space_group_IT_number 82
_space_group_name_Hall 'I -4'
loop_
_atom_site_label
_atom_site_type_symbol
_atom_site_fract_x
_atom_site_fract_y
_atom_site_fract_z
_atom_site_occupancy
Ta1 Ta 0.0132 0.3545 0.0148 1
Ta2 Ta 0.0835 0.9010 0.2277 1
Ta3 Ta 0.1907 0.7857 0.7608 1
Ge1 Ge 0.0257 0.2908 0.5169 1
```

***

[3]
The following is a calculated powder diffractogram of SrSi2O5. It was derived from a DFT-relaxed cell (PBE, the Materials Project), using Cu Kα X-rays.
Kinematic intensities with the Lorentz-polarization factor, no thermal factor.

Principal peaks in the range 2θ from 5° to 70°, low angle first:
| Position (°2θ) | d [Å] | I_rel |
| --- | --- | --- |
| 23.3 | 3.822 | 20 |
| 26.1 | 3.417 | 26 |
| 27.3 | 3.269 | 37 |
| 32.6 | 2.745 | 59 |
| 33.9 | 2.644 | 100 |
| 39.6 | 2.277 | 29 |
| 43.4 | 2.086 | 25 |
| 44.0 | 2.057 | 62 |
| 50.8 | 1.798 | 13 |
| 69.9 | 1.346 | 19 |

Structural model:
```
data_SrSi2O5
_cell_length_a 5.2940
_cell_length_b 9.3830
_cell_length_c 13.6694
_cell_angle_alpha 90.00
_cell_angle_beta 90.00
_cell_angle_gamma 90.00
_space_group_name_H-M_alt 'C m c e'
_space_group_IT_number 64
_space_group_name_Hall '-C 2ac 2'
loop_
_atom_site_label
_atom_site_type_symbol
_atom_site_fract_x
_atom_site_fract_y
_atom_site_fract_z
_atom_site_occupancy
Sr1 Sr 0.0000 0.1607 0.0839 1
Si1 Si 0.0000 0.0058 0.6385 1
Si2 Si 0.0000 0.1738 0.8164 1
O1 O 0.0000 0.0118 0.7569 1
O2 O 0.0000 0.1650 0.3974 1
O3 O 0.2455 0.0899 0.9062 1
O4 O 0.2500 0.2465 0.7500 1
```

***

[4]
The following is a calculated powder diffractogram of SiO2. It was derived from a DFT-relaxed cell (PBE, the Materials Project), using Cu Kα X-rays.
Kinematic intensities with the Lorentz-polarization factor, no thermal factor.

Principal peaks in the range 2θ from 5° to 70°, low angle first:
| Position (°2θ) | d [Å] | I_rel |
| --- | --- | --- |
| 20.1 | 4.422 | 17 |
| 25.7 | 3.468 | 100 |
| 35.2 | 2.553 | 4 |
| 40.8 | 2.211 | 3 |
| 44.0 | 2.056 | 4 |
| 48.3 | 1.885 | 20 |
| 52.8 | 1.734 | 2 |
| 57.6 | 1.601 | 8 |
| 65.0 | 1.435 | 4 |
| 65.5 | 1.425 | 10 |

Structural model:
```
data_SiO2
_cell_length_a 5.1062
_cell_length_b 5.1062
_cell_length_c 5.5905
_cell_angle_alpha 90.00
_cell_angle_beta 90.00
_cell_angle_gamma 120.00
_space_group_name_H-M_alt 'P 62 2 2'
_space_group_IT_number 180
_space_group_name_Hall 'P 62 2 (0 0 4)'
loop_
_atom_site_label
_atom_site_type_symbol
_atom_site_fract_x
_atom_site_fract_y
_atom_site_fract_z
_atom_site_occupancy
Si1 Si 0.0000 0.5000 0.1667 1
O1 O 0.2083 0.4166 0.0000 1
```

***

[5]
The following is a calculated powder diffractogram of LiMg3. It was derived from a DFT-relaxed cell (PBE, the Materials Project), using Cu Kα X-rays.
Kinematic intensities with the Lorentz-polarization factor, no thermal factor.

Principal peaks in the range 2θ from 5° to 70°, low angle first:
| Position (°2θ) | d [Å] | I_rel |
| --- | --- | --- |
| 16.0 | 5.554 | 17 |
| 23.7 | 3.755 | 15 |
| 32.8 | 2.727 | 28 |
| 35.2 | 2.548 | 39 |
| 36.9 | 2.438 | 53 |
| 37.4 | 2.404 | 100 |
| 48.9 | 1.862 | 18 |
| 57.9 | 1.593 | 17 |
| 64.7 | 1.442 | 19 |
| 69.6 | 1.351 | 19 |

Structural model:
```
data_LiMg3
_cell_length_a 3.1300
_cell_length_b 5.0957
_cell_length_c 5.5537
_cell_angle_alpha 90.00
_cell_angle_beta 90.00
_cell_angle_gamma 90.00
_space_group_name_H-M_alt 'P m m 2'
_space_group_IT_number 25
_space_group_name_Hall 'P 2 -2'
loop_
_atom_site_label
_atom_site_type_symbol
_atom_site_fract_x
_atom_site_fract_y
_atom_site_fract_z
_atom_site_occupancy
Li1 Li 0.0000 0.0000 0.0000 1
Mg1 Mg 0.0000 0.5000 0.6710 1
Mg2 Mg 0.5000 0.0000 0.5001 1
Mg3 Mg 0.5000 0.5000 0.1649 1
```

***

[6]
The following is a calculated powder diffractogram of La3PBr3. It was derived from a DFT-relaxed cell (PBE, the Materials Project), using Cu Kα X-rays.
Kinematic intensities with the Lorentz-polarization factor, no thermal factor.

Principal peaks in the range 2θ from 5° to 70°, low angle first:
| Position (°2θ) | d [Å] | I_rel |
| --- | --- | --- |
| 10.3 | 8.552 | 16 |
| 18.0 | 4.937 | 12 |
| 27.6 | 3.232 | 31 |
| 29.5 | 3.024 | 100 |
| 34.8 | 2.578 | 17 |
| 42.3 | 2.138 | 71 |
| 52.4 | 1.746 | 24 |
| 55.9 | 1.646 | 13 |
| 60.3 | 1.536 | 11 |
| 69.5 | 1.352 | 28 |

Structural model:
```
data_La3PBr3
_cell_length_a 12.0941
_cell_length_b 12.0941
_cell_length_c 12.0941
_cell_angle_alpha 90.00
_cell_angle_beta 90.00
_cell_angle_gamma 90.00
_space_group_name_H-M_alt 'I 41 3 2'
_space_group_IT_number 214
_space_group_name_Hall 'I 4bd 2c 3'
loop_
_atom_site_label
_atom_site_type_symbol
_atom_site_fract_x
_atom_site_fract_y
_atom_site_fract_z
_atom_site_occupancy
La1 La 0.1129 0.3629 0.1250 1
P1 P 0.1250 0.1250 0.1250 1
Br1 Br 0.1177 0.1323 0.6250 1
```

***

[7]
The following is a calculated powder diffractogram of LiMg2. It was derived from a DFT-relaxed cell (PBE, the Materials Project), using Cu Kα X-rays.
Kinematic intensities with the Lorentz-polarization factor, no thermal factor.

Principal peaks in the range 2θ from 5° to 70°, low angle first:
| Position (°2θ) | d [Å] | I_rel |
| --- | --- | --- |
| 10.7 | 8.289 | 21 |
| 17.7 | 5.014 | 29 |
| 32.4 | 2.763 | 16 |
| 32.7 | 2.738 | 32 |
| 35.8 | 2.507 | 36 |
| 37.2 | 2.420 | 50 |
| 37.4 | 2.403 | 100 |
| 49.3 | 1.849 | 19 |
| 58.0 | 1.590 | 17 |
| 65.4 | 1.427 | 18 |

Structural model:
```
data_LiMg2
_cell_length_a 5.0142
_cell_length_b 3.1516
_cell_length_c 16.5781
_cell_angle_alpha 90.00
_cell_angle_beta 90.00
_cell_angle_gamma 90.00
_space_group_name_H-M_alt 'A m m 2'
_space_group_IT_number 38
_space_group_name_Hall 'A 2 -2'
loop_
_atom_site_label
_atom_site_type_symbol
_atom_site_fract_x
_atom_site_fract_y
_atom_site_fract_z
_atom_site_occupancy
Li1 Li 0.0000 0.0000 0.0000 1
Li2 Li 0.0000 0.0000 0.3336 1
Mg1 Mg 0.0000 0.0000 0.6665 1
Mg2 Mg 0.5000 0.0000 0.1099 1
Mg3 Mg 0.5000 0.0000 0.4439 1
Mg4 Mg 0.5000 0.0000 0.7790 1
```